This entry pairs a crystal structure of Ba2CoCu2O6 with its theoretical PXRD pattern. Radiation: λ = 1.5418 Å (Cu Kα). Structure: the GGA+U geometry in Alexandria.
Lines closer than 0.1° are merged.

Structural model:
```
Ba2CoCu2O6
1.0
2.8838 1.6649 5.3686
-2.8838 1.6649 5.3686
0.0000 -3.3299 5.3686
Ba Co Cu O
2 1 2 6
Direct
0.2213 0.2213 0.2213
0.7787 0.7787 0.7787
0.0000 0.0000 0.0000
0.4091 0.4091 0.4091
0.5909 0.5909 0.5909
0.2228 0.7734 0.7734
0.2266 0.2266 0.7772
0.2266 0.7772 0.2266
0.7734 0.2228 0.7734
0.7734 0.7734 0.2228
0.7772 0.2266 0.2266
```

Top 10 peaks for 2θ = 10–80°, sorted by position:
Position (°2θ), I_rel
28.47, 12
31.01, 100
33.09, 70
33.38, 13
37.71, 15
42.60, 15
45.98, 26
55.17, 19
56.50, 34
64.64, 17